[1]
This entry pairs a crystal structure of Tb2Y5Pd4 with its calculated X-ray diffraction stick pattern. Radiation: λ = 1.5418 Å (Cu Kα). Structure: a PBE-relaxed structure.

Top 10 peaks for 2θ from 15° to 90°, low angle first:
two_theta, I_rel
24.87, 71
28.13, 32
30.17, 67
30.63, 33
31.47, 100
34.80, 58
36.58, 94
37.72, 73
43.82, 61
50.44, 42

Cell and atoms:
```
Tb2Y5Pd4
1.0
12.350 -1.809 0.000
12.350 1.809 0.000
-0.212 0.000 6.783
Tb Y Pd
2 5 4
Cartesian
2.212 0.000 1.129
22.277 0.000 5.654
3.165 0.000 4.591
5.768 0.000 1.705
12.245 0.000 3.391
18.722 0.000 5.078
21.325 0.000 2.191
0.457 0.000 5.523
8.156 0.000 0.025
16.333 0.000 6.758
24.033 0.000 1.259
```



[2]
This entry pairs a crystal structure of Tb3Y3Pd4 with its calculated X-ray diffraction stick pattern. Radiation: λ = 1.5418 Å (Cu Kα). Structure: a PBE-relaxed structure.

Top 10 peaks for 2θ from 15° to 90°, low angle first:
two_theta, I_rel
15.97, 9
32.19, 24
34.19, 100
36.19, 38
46.00, 14
47.74, 11
53.44, 11
59.89, 17
68.65, 15
77.50, 9

Cell and atoms:
```
Tb3Y3Pd4
1.0
3.946 0.000 0.000
0.000 5.549 5.551
0.000 -5.549 5.551
Tb Y Pd
3 3 4
Cartesian
0.000 0.000 0.000
0.000 -1.833 7.378
0.000 1.833 7.378
0.000 0.000 3.667
1.973 -2.772 4.602
1.973 2.772 4.602
1.973 -1.460 1.823
1.973 1.460 1.823
1.973 0.000 5.928
1.973 0.000 8.840
```



[3]
This entry pairs a crystal structure of Tb6Zn2Pd with its calculated X-ray diffraction stick pattern. Radiation: λ = 1.5418 Å (Cu Kα). Structure: a PBE-relaxed structure.

Top 10 peaks for 2θ from 15° to 90°, low angle first:
two_theta, I_rel
25.50, 14
29.23, 26
31.69, 100
34.29, 44
34.48, 56
34.79, 42
35.58, 47
37.16, 14
57.23, 18
58.67, 17

Cell and atoms:
```
Tb6Zn2Pd
1.0
-4.795 4.839 5.047
4.795 -4.839 5.047
4.795 4.839 -5.047
Tb Zn Pd
12 4 2
Cartesian
4.795 3.139 -2.855
3.122 0.000 2.584
6.469 0.000 2.584
2.963 2.525 0.000
6.628 2.525 0.000
0.000 1.701 2.191
4.795 3.139 2.855
-1.832 2.315 5.047
1.832 2.315 5.047
-1.673 4.839 2.463
1.673 4.839 2.463
0.000 1.701 7.902
1.316 0.000 0.000
8.275 0.000 0.000
0.000 3.611 0.000
0.000 6.067 0.000
4.795 0.000 0.000
0.000 0.000 5.047
```



[4]
This entry pairs a crystal structure of TbZn6Pd6 with its calculated X-ray diffraction stick pattern. Radiation: λ = 1.5418 Å (Cu Kα). Structure: a PBE-relaxed structure.

Top 10 peaks for 2θ from 15° to 90°, low angle first:
two_theta, I_rel
34.42, 29
34.91, 54
35.03, 19
40.17, 64
40.65, 100
40.91, 30
45.30, 41
45.83, 29
65.88, 23
74.31, 22

Cell and atoms:
```
TbZn6Pd6
1.0
-2.606 4.412 4.431
2.606 -4.412 4.431
2.606 4.412 -4.431
Tb Zn Pd
1 6 6
Cartesian
0.000 0.000 0.000
1.303 2.206 -2.215
1.303 -2.206 2.215
2.606 2.124 0.000
-1.303 2.206 2.215
1.303 2.206 2.215
0.000 2.288 4.431
2.606 0.000 1.616
0.000 0.000 3.013
0.000 3.033 0.000
0.000 5.792 0.000
0.000 0.000 5.848
0.000 4.412 2.815
```



[5]
This entry pairs a crystal structure of Tb4ZnPd2 with its calculated X-ray diffraction stick pattern. Radiation: λ = 1.5418 Å (Cu Kα). Structure: a PBE-relaxed structure.

Top 10 peaks for 2θ from 15° to 90°, low angle first:
two_theta, I_rel
25.53, 17
36.12, 100
36.27, 25
36.57, 24
52.45, 17
64.85, 9
65.14, 17
65.53, 17
76.63, 11
88.44, 11

Cell and atoms:
```
Tb4ZnPd2
1.0
3.546 -4.954 0.000
3.546 4.954 0.000
0.000 0.000 4.915
Tb Zn Pd
4 1 2
Cartesian
1.773 2.477 2.457
1.716 0.000 0.000
1.773 -2.477 2.457
5.376 0.000 0.000
3.546 0.000 2.457
3.546 2.381 0.000
3.546 -2.381 0.000
```



[6]
This entry pairs a crystal structure of Tb3Zn4Pd4 with its calculated X-ray diffraction stick pattern. Radiation: λ = 1.5418 Å (Cu Kα). Structure: a PBE-relaxed structure.

Top 10 peaks for 2θ from 15° to 90°, low angle first:
two_theta, I_rel
33.13, 47
33.72, 100
34.98, 83
35.07, 83
41.32, 49
41.53, 48
41.84, 64
51.01, 35
54.66, 25
68.02, 29

Cell and atoms:
```
Tb3Zn4Pd4
1.0
3.581 0.000 0.000
0.004 4.318 0.000
1.769 2.083 13.887
Tb Zn Pd
3 4 4
Cartesian
0.000 0.000 0.000
1.778 4.263 9.865
3.576 2.138 4.022
1.780 2.126 6.765
1.788 4.304 2.657
3.566 2.097 11.230
3.573 4.275 7.122
1.783 4.289 5.210
1.797 2.146 1.367
3.557 4.255 12.520
3.570 2.112 8.677
```



[7]
This entry pairs a crystal structure of Tb4Zn3Pd with its calculated X-ray diffraction stick pattern. Radiation: λ = 1.5418 Å (Cu Kα). Structure: a PBE-relaxed structure.

Top 10 peaks for 2θ from 15° to 90°, low angle first:
two_theta, I_rel
25.29, 28
32.15, 100
32.33, 23
34.29, 42
38.01, 31
39.49, 31
39.72, 40
49.18, 16
53.28, 24
77.86, 16

Cell and atoms:
```
Tb4Zn3Pd
1.0
3.706 0.000 0.000
0.000 4.564 0.000
0.000 0.000 11.075
Tb Zn Pd
4 3 1
Cartesian
0.000 0.000 0.000
0.000 2.282 3.119
1.853 0.000 5.374
1.853 2.282 8.754
0.000 0.000 7.871
0.000 2.282 6.265
1.853 2.282 0.721
1.853 0.000 2.365
```



[8]
This entry pairs a crystal structure of Tb2Zn5Pd4 with its calculated X-ray diffraction stick pattern. Radiation: λ = 1.5418 Å (Cu Kα). Structure: a PBE-relaxed structure.

Top 10 peaks for 2θ from 15° to 90°, low angle first:
two_theta, I_rel
21.11, 34
34.57, 52
37.83, 100
39.46, 23
40.30, 82
42.98, 40
43.72, 29
51.54, 36
63.30, 24
71.35, 28

Cell and atoms:
```
Tb2Zn5Pd4
1.0
0.000 4.538 8.418
2.643 0.000 8.418
2.643 4.538 0.000
Tb Zn Pd
2 5 4
Cartesian
2.643 4.538 2.365
2.643 4.538 14.470
1.321 2.269 0.000
1.321 2.269 4.209
1.321 2.269 8.418
2.643 4.538 8.418
3.964 6.807 12.627
2.643 3.067 6.268
2.643 3.067 10.567
2.643 6.009 6.268
2.643 6.009 10.567
```



[9]
This entry pairs a crystal structure of TcPd with its calculated X-ray diffraction stick pattern. Radiation: λ = 1.5418 Å (Cu Kα). Structure: a PBE-relaxed structure.

Top 10 peaks for 2θ from 15° to 90°, low angle first:
two_theta, I_rel
36.83, 12
37.35, 26
41.25, 38
42.41, 53
42.87, 100
56.86, 15
66.68, 18
76.32, 18
81.51, 20
83.24, 14

Cell and atoms:
```
TcPd
1.0
2.768 0.000 0.000
0.000 4.377 0.000
0.000 0.000 4.881
Tc Pd
2 2
Cartesian
0.692 1.094 0.409
2.076 3.283 4.472
0.692 3.283 2.022
2.076 1.094 2.859
```



[10]
This entry pairs a crystal structure of Tc6Pd with its calculated X-ray diffraction stick pattern. Radiation: λ = 1.5418 Å (Cu Kα). Structure: a PBE-relaxed structure.

Top 10 peaks for 2θ from 15° to 90°, low angle first:
two_theta, I_rel
32.82, 21
36.04, 100
40.07, 53
41.50, 65
44.73, 62
44.96, 17
48.52, 24
49.18, 28
74.05, 32
86.76, 23

Cell and atoms:
```
Tc6Pd
1.0
5.240 0.000 0.000
0.000 5.240 0.000
0.000 0.000 8.065
Tc Pd
12 2
Cartesian
0.396 3.016 1.131
0.396 4.844 6.934
1.310 1.310 2.834
1.310 1.310 5.231
2.224 3.016 6.934
2.224 4.844 1.131
3.016 0.396 6.934
3.016 2.224 1.131
3.930 3.930 2.834
3.930 3.930 5.231
4.844 0.396 1.131
4.844 2.224 6.934
1.310 3.930 4.033
3.930 1.310 4.033
```



[11]
This entry pairs a crystal structure of TcPd3 with its calculated X-ray diffraction stick pattern. Radiation: λ = 1.5418 Å (Cu Kα). Structure: a PBE-relaxed structure.

Top 10 peaks for 2θ from 15° to 90°, low angle first:
two_theta, I_rel
37.51, 7
38.84, 46
39.62, 36
42.62, 100
48.39, 24
64.26, 10
67.69, 22
73.95, 19
81.37, 26
83.37, 14

Cell and atoms:
```
TcPd3
1.0
2.769 0.000 0.000
-1.384 2.398 0.000
0.000 0.000 9.100
Tc Pd
1 3
Cartesian
0.000 0.000 0.000
0.000 0.000 4.550
0.000 1.598 2.203
1.384 0.799 6.897
```



[12]
This entry pairs a crystal structure of Th8Tc3Te4Pd with its calculated X-ray diffraction stick pattern. Radiation: λ = 1.5418 Å (Cu Kα). Structure: a PBE-relaxed structure.

Top 10 peaks for 2θ from 15° to 90°, low angle first:
two_theta, I_rel
25.69, 14
29.01, 100
31.28, 11
36.73, 10
39.81, 30
43.11, 38
52.80, 19
56.59, 11
60.11, 9
70.44, 16

Cell and atoms:
```
Th8Tc3Te4Pd
1.0
4.197 2.423 7.719
-4.197 2.423 7.719
0.000 -4.846 7.719
Th Tc Te Pd
8 3 4 1
Cartesian
-2.179 -1.258 13.133
0.000 0.000 5.427
0.000 -2.516 10.024
-2.179 1.258 10.024
2.179 -1.258 13.133
0.000 2.516 13.133
0.000 0.000 17.731
2.179 1.258 10.024
-4.197 0.000 11.579
-2.099 1.212 3.860
2.099 1.212 3.860
0.000 0.000 0.000
-2.099 -1.212 7.719
-2.099 1.212 15.438
0.000 2.423 7.719
0.000 0.000 11.579
```



[13]
This entry pairs a crystal structure of Th5Tc2Pd with its calculated X-ray diffraction stick pattern. Radiation: λ = 1.5418 Å (Cu Kα). Structure: a PBE-relaxed structure.

Top 10 peaks for 2θ from 15° to 90°, low angle first:
two_theta, I_rel
26.21, 23
31.37, 22
32.51, 100
35.38, 29
36.11, 56
52.21, 15
54.98, 12
56.88, 18
67.53, 16
67.86, 13

Cell and atoms:
```
Th5Tc2Pd
1.0
-3.932 3.932 6.642
3.932 -3.932 6.642
3.932 3.932 -6.642
Th Tc Pd
10 4 2
Cartesian
0.000 0.000 0.000
5.189 1.257 -1.876
1.257 2.676 -1.876
5.189 1.257 1.876
1.257 2.676 1.876
0.000 0.000 6.642
2.676 1.257 4.767
-1.257 2.676 4.767
2.676 1.257 8.518
-1.257 2.676 8.518
2.840 1.093 0.000
2.840 -1.093 6.642
1.093 5.025 0.000
1.093 2.840 6.642
0.000 0.000 3.321
0.000 0.000 9.964
```